(1)
Cs2TlCd: theoretical X-ray powder pattern (Cu Kα (λ = 1.5418 Å)), based on a crystal structure in Alexandria, relaxed with PBE.
Peak positions follow from Bragg's law for the DFT cell and can differ from measured ones.

Atomic structure:
```
data_Cs2TlCd
_symmetry_space_group_name_H-M 'P 4/m m m'
_symmetry_Int_Tables_number 123
_symmetry_space_group_name_Hall '-P 4 2'
_cell_length_a 6.7888
_cell_length_b 6.7888
_cell_length_c 4.3676
_cell_angle_alpha 90.00
_cell_angle_beta 90.00
_cell_angle_gamma 90.00
loop_
_atom_site_label
_atom_site_type_symbol
_atom_site_fract_x
_atom_site_fract_y
_atom_site_fract_z
_atom_site_occupancy
Cs1 Cs 0.0000 0.5000 0.0000 1
Tl1 Tl 0.0000 0.0000 0.5000 1
Cd1 Cd 0.5000 0.5000 0.5000 1
```

Most intense lines, 2θ = 10–80°, sorted by position:
two_theta, d (Å), Rel. int., hkl
26.25, 3.394, 57, 2 0 0
27.61, 3.231, 100, 1 1 1
37.47, 2.400, 22, 2 2 0
47.17, 1.927, 46, 3 1 1
49.64, 1.837, 20, 2 0 2
57.01, 1.615, 13, 2 2 2
61.04, 1.518, 11, 4 2 0
61.74, 1.502, 10, 3 3 1
74.51, 1.274, 12, 5 1 1
76.41, 1.246, 11, 4 2 2

(2)
Cs5Tl11Cd2: theoretical X-ray powder pattern (Cu Kα (λ = 1.5418 Å)), based on a crystal structure in Alexandria, relaxed with PBE.
Peak positions follow from Bragg's law for the DFT cell and can differ from measured ones.

Atomic structure:
```
data_Cs5Tl11Cd2
_symmetry_space_group_name_H-M 'A m m 2'
_symmetry_Int_Tables_number 38
_cell_length_a 5.7179
_cell_length_b 18.5950
_cell_length_c 13.6464
_cell_angle_alpha 90.00
_cell_angle_beta 90.00
_cell_angle_gamma 90.00
loop_
_symmetry_equiv_pos_as_xyz
'x,y,z'
'-x,-y,z'
'-x,y,z'
'x,-y,z'
'x,y+1/2,z+1/2'
'-x,-y+1/2,z+1/2'
'-x,y+1/2,z+1/2'
'x,-y+1/2,z+1/2'
loop_
_atom_site_label
_atom_site_type_symbol
_atom_site_fract_x
_atom_site_fract_y
_atom_site_fract_z
_atom_site_occupancy
Cs1 Cs 0.0000 0.0000 0.0000 1
Cs2 Cs 0.0000 0.1907 0.7850 1
Cs3 Cs 0.5000 0.1909 0.0720 1
Tl1 Tl 0.0000 0.0000 0.6495 1
Tl2 Tl 0.0000 0.0964 0.2559 1
Tl3 Tl 0.0000 0.1566 0.4991 1
Tl4 Tl 0.5000 0.0000 0.2067 1
Tl5 Tl 0.5000 0.0000 0.7987 1
Tl6 Tl 0.5000 0.1001 0.6082 1
Tl7 Tl 0.5000 0.1552 0.3626 1
Cd1 Cd 0.2503 0.0000 0.4297 1
```

Most intense lines, 2θ = 10–80°, sorted by position:
two_theta, d (Å), Rel. int., hkl
15.70, 5.643, 18, 0 3 1
28.92, 3.087, 100, 1 3 3
29.39, 3.039, 69, 1 5 1
30.51, 2.930, 45, 1 0 4
31.06, 2.879, 33, 0 5 3
31.29, 2.859, 55, 2 0 0
35.19, 2.550, 21, 2 3 1
35.45, 2.532, 50, 1 6 2
36.24, 2.479, 38, 1 4 4
36.81, 2.442, 19, 1 1 5

(3)
CsTl9Cd2: theoretical X-ray powder pattern (Cu Kα (λ = 1.5418 Å)), based on a crystal structure in Alexandria, relaxed with PBE.
Peak positions follow from Bragg's law for the DFT cell and can differ from measured ones.

Atomic structure:
```
data_CsTl9Cd2
_symmetry_space_group_name_H-M 'P 6/m m m'
_symmetry_Int_Tables_number 191
_symmetry_space_group_name_Hall '-P 6 2'
_cell_length_a 10.8092
_cell_length_b 10.8092
_cell_length_c 3.9127
_cell_angle_alpha 90.00
_cell_angle_beta 90.00
_cell_angle_gamma 120.00
loop_
_atom_site_label
_atom_site_type_symbol
_atom_site_fract_x
_atom_site_fract_y
_atom_site_fract_z
_atom_site_occupancy
Cs1 Cs 0.0000 0.0000 0.0000 1
Tl1 Tl 0.0000 0.5000 0.0000 1
Tl2 Tl 0.1951 0.3901 0.5000 1
Cd1 Cd 0.3333 0.6667 0.0000 1
```

Most intense lines, 2θ = 10–80°, sorted by position:
two_theta, d (Å), Rel. int., hkl
25.17, 3.538, 20, 2 1 0
28.16, 3.169, 18, 1 1 1
29.76, 3.002, 100, 2 0 1
33.15, 2.702, 86, 2 2 0
34.17, 2.624, 66, 2 1 1
36.84, 2.440, 18, 3 0 1
46.41, 1.956, 17, 0 0 2
54.32, 1.689, 26, 5 0 1
57.14, 1.612, 21, 4 2 1
58.22, 1.585, 35, 2 2 2

(4)
Cs3Tl8Cd3: theoretical X-ray powder pattern (Cu Kα (λ = 1.5418 Å)), based on a crystal structure in Alexandria, relaxed with PBE.
Peak positions follow from Bragg's law for the DFT cell and can differ from measured ones.

Atomic structure:
```
data_Cs3Tl8Cd3
_symmetry_space_group_name_H-M 'I m m m'
_symmetry_Int_Tables_number 71
_symmetry_space_group_name_Hall '-I 2 2'
_cell_length_a 5.2076
_cell_length_b 13.0297
_cell_length_c 15.0942
_cell_angle_alpha 90.00
_cell_angle_beta 90.00
_cell_angle_gamma 90.00
loop_
_atom_site_label
_atom_site_type_symbol
_atom_site_fract_x
_atom_site_fract_y
_atom_site_fract_z
_atom_site_occupancy
Cs1 Cs 0.0000 0.0000 0.0000 1
Cs2 Cs 0.0000 0.0000 0.2844 1
Tl1 Tl 0.0000 0.2954 0.1181 1
Tl2 Tl 0.0000 0.3320 0.3324 1
Cd1 Cd 0.0000 0.1571 0.5000 1
Cd2 Cd 0.0000 0.5000 0.0000 1
```

Most intense lines, 2θ = 10–80°, sorted by position:
two_theta, d (Å), Rel. int., hkl
13.59, 6.515, 49, 0 2 0
26.73, 3.335, 100, 1 3 0
27.31, 3.265, 65, 0 2 4
29.27, 3.051, 49, 1 3 2
30.04, 2.975, 37, 1 1 4
34.34, 2.612, 43, 1 0 5
34.44, 2.604, 68, 2 0 0
35.93, 2.499, 46, 1 3 4
44.51, 2.036, 35, 2 2 4
45.75, 1.983, 36, 1 5 4

(5)
Cs3TlCd6: theoretical X-ray powder pattern (Cu Kα (λ = 1.5418 Å)), based on a crystal structure in Alexandria, relaxed with PBE.
Peak positions follow from Bragg's law for the DFT cell and can differ from measured ones.

Atomic structure:
```
data_Cs3TlCd6
_symmetry_space_group_name_H-M 'C 1 2/m 1'
_symmetry_Int_Tables_number 12
_cell_length_a 13.6105
_cell_length_b 7.3482
_cell_length_c 7.8870
_cell_angle_alpha 90.00
_cell_angle_beta 110.74
_cell_angle_gamma 90.00
loop_
_symmetry_equiv_pos_as_xyz
'x,y,z'
'-x,-y,-z'
'-x,y,-z'
'x,-y,z'
'x+1/2,y+1/2,z'
'-x+1/2,-y+1/2,-z'
'-x+1/2,y+1/2,-z'
'x+1/2,-y+1/2,z'
loop_
_atom_site_label
_atom_site_type_symbol
_atom_site_fract_x
_atom_site_fract_y
_atom_site_fract_z
_atom_site_occupancy
Cs1 Cs 0.0000 0.0000 0.0000 1
Cs2 Cs 0.0043 0.5000 0.7444 1
Tl1 Tl 0.0000 0.0000 0.5000 1
Cd1 Cd 0.2184 0.0000 0.4406 1
Cd2 Cd 0.2381 0.2033 0.8050 1
```

Most intense lines, 2θ = 10–80°, sorted by position:
two_theta, d (Å), Rel. int., hkl
25.68, 3.468, 14, 1 1 -2
27.11, 3.289, 15, 0 2 1
28.04, 3.182, 100, 4 0 0
28.55, 3.127, 47, 3 1 -2
30.08, 2.971, 47, 1 1 2
34.46, 2.603, 13, 0 2 2
37.43, 2.403, 18, 4 0 -3
49.62, 1.837, 19, 0 4 0
51.63, 1.770, 13, 5 3 -2
57.97, 1.591, 13, 8 0 0